Structure and simulated powder diffraction line list of Th4In8Cu (DFT lattice parameters and positions (GGA-PBE); Cu Ka).
No peak broadening, texture or thermal motion is included.

Main lines, by angle (2θ = 10–90°):
- 31.89 deg, I = 100.0, hkl 1 1 3
- 33.12 deg, I = 16.2, hkl 0 0 6
- 38.32 deg, I = 19.2, hkl 0 2 0
- 39.29 deg, I = 17.9, hkl 2 0 0
- 51.53 deg, I = 9.3, hkl 0 2 6
- 52.30 deg, I = 8.9, hkl 2 0 6
- 56.05 deg, I = 12.6, hkl 2 2 0
- 58.39 deg, I = 8.8, hkl 1 1 9
- 65.28 deg, I = 13.0, hkl 1 3 3
- 66.64 deg, I = 20.9, hkl 3 1 3

Structure:
Lattice parameters (Å, degrees): 4.5858 4.6981 16.2309 90.00 90.00 90.00
Space group Pmm2 (No. 25)
Symmetry-distinct sites (fractional):
Th 0.0000 0.0000 0.0000 x1
Th 0.0000 0.5000 0.4753 x1
Th 0.5000 0.0000 0.7926 x1
Th 0.5000 0.5000 0.3054 x1
In 0.0000 0.0000 0.3133 x1
In 0.0000 0.0000 0.6219 x1
In 0.0000 0.5000 0.1524 x1
In 0.0000 0.5000 0.8527 x1
In 0.5000 0.0000 0.1552 x1
In 0.5000 0.0000 0.4648 x1
In 0.5000 0.5000 0.6210 x1
In 0.5000 0.5000 0.9679 x1
Cu 0.0000 0.5000 0.6972 x1

=====

Structure and simulated powder diffraction line list of CaAcPbN (DFT lattice parameters and positions (GGA-PBE); Cu Ka).
No peak broadening, texture or thermal motion is included.

Main lines, by angle (2θ = 10–90°):
- 10.71 deg, I = 36.7, hkl 0 0 3
- 21.52 deg, I = 20.5, hkl 0 0 6
- 26.91 deg, I = 64.8, hkl 1 0 1
- 30.38 deg, I = 100.0, hkl 1 0 4
- 32.30 deg, I = 79.2, hkl 0 1 5
- 32.53 deg, I = 30.1, hkl 0 0 9
- 39.67 deg, I = 21.5, hkl 0 1 8
- 45.57 deg, I = 22.6, hkl 1 0 10
- 47.08 deg, I = 38.1, hkl 1 1 0
- 58.39 deg, I = 35.2, hkl 1 1 9

Structure:
Lattice parameters (Å, degrees): 3.8605 3.8605 24.7754 90.00 90.00 120.00
Space group R3m (No. 160, hexagonal axes)
Symmetry-distinct sites (fractional):
Ca 0.0000 0.0000 0.0000 x3
Ac 0.0000 0.0000 0.4482 x3
Pb 0.0000 0.0000 0.2323 x3
N 0.0000 0.0000 0.7310 x3

=====

Structure and simulated powder diffraction line list of LaAu13 (DFT lattice parameters and positions (GGA-PBE); Cu Ka).
No peak broadening, texture or thermal motion is included.

Main lines, by angle (2θ = 10–90°):
- 13.42 deg, I = 22.5, hkl 2 0 0
- 30.28 deg, I = 13.0, hkl 4 2 0
- 33.25 deg, I = 48.3, hkl 4 2 2
- 40.43 deg, I = 100.0, hkl 5 3 1
- 41.03 deg, I = 39.7, hkl 6 0 0
- 64.29 deg, I = 18.0, hkl 7 5 3
- 69.82 deg, I = 10.6, hkl 8 4 4
- 77.56 deg, I = 16.4, hkl 9 5 3
- 83.90 deg, I = 10.3, hkl 11 3 1
- 85.86 deg, I = 10.2, hkl 8 6 6

Structure:
Lattice parameters (Å, degrees): 13.1995 13.1995 13.1995 90.00 90.00 90.00
Space group Fm-3c (No. 226)
Symmetry-distinct sites (fractional):
La 0.2500 0.2500 0.2500 x8
Au 0.0000 0.0000 0.0000 x8
Au 0.0000 0.1200 0.1815 x96